(1)
Diffraction record for Cs6RbI. The X-ray diffraction stick pattern is calculated, not measured: it uses a DFT-relaxed cell (GGA-PBE, Alexandria) and Cu Kα.
Intensities are scaled so that the largest is 1000.

Top 10 peaks for 10 to 90 degrees two-theta, by intensity:
2theta, I/Imax
21.13, 1000
21.22, 972
21.44, 922
32.74, 562
19.95, 539
39.29, 394
18.76, 321
27.29, 319
38.43, 308
27.48, 292

Crystal structure
abc: 18.5200 9.4882 18.7729
angles: 90.00 102.33 90.00
Space group C2/c (No. 15)
Inequivalent atoms, fractional coordinates:
Cs 0.0685 0.0819 0.3890
Cs 0.1391 0.4169 0.0341
Cs 0.2181 0.0864 0.6799
Rb 0.0000 0.4107 0.7500
I 0.2500 0.2500 0.5000

=====

(2)
Diffraction record for Cs5Rb3I8. The X-ray diffraction stick pattern is calculated, not measured: it uses a DFT-relaxed cell (GGA-PBE, Alexandria) and Cu Kα.
Intensities are scaled so that the largest is 1000.

Top 10 peaks for 10 to 90 degrees two-theta, by intensity:
2theta, I/Imax
23.11, 1000
32.85, 404
32.96, 395
40.55, 223
58.70, 220
53.14, 200
53.29, 193
47.23, 141
73.74, 75
73.86, 73

Crystal structure
abc: 10.9050 10.9050 26.5812
angles: 90.00 90.00 120.00
Space group R-3m (No. 166, hexagonal axes)
Inequivalent atoms, fractional coordinates:
Cs 0.0000 0.0000 0.0000
Cs 0.0000 0.0000 0.5000
Cs 0.0000 0.5000 0.0000
Rb 0.0000 0.5000 0.5000
I 0.0000 0.0000 0.2458
I 0.0061 0.5031 0.7531

=====

(3)
Diffraction record for CsRb2I7. The X-ray diffraction stick pattern is calculated, not measured: it uses a DFT-relaxed cell (GGA-PBE, Alexandria) and Cu Kα.
Intensities are scaled so that the largest is 1000.

Top 10 peaks for 10 to 90 degrees two-theta, by intensity:
2theta, I/Imax
22.65, 1000
27.71, 891
36.29, 843
22.97, 761
13.75, 437
46.27, 383
11.43, 310
39.59, 309
55.38, 227
46.10, 204

Crystal structure
abc: 9.1049 9.1049 15.4870
angles: 90.00 90.00 90.00
Space group I4/mmm (No. 139)
Inequivalent atoms, fractional coordinates:
Cs 0.0000 0.0000 0.0000
Rb 0.0000 0.5000 0.2500
I 0.0000 0.0000 0.2369
I 0.0000 0.0000 0.5000
I 0.2246 0.2246 0.5000

=====

(4)
Diffraction record for Cs4RbI5. The X-ray diffraction stick pattern is calculated, not measured: it uses a DFT-relaxed cell (GGA-PBE, Alexandria) and Cu Kα.
Intensities are scaled so that the largest is 1000.

Top 10 peaks for 10 to 90 degrees two-theta, by intensity:
2theta, I/Imax
22.91, 1000
32.62, 800
52.72, 395
40.24, 295
58.21, 291
73.13, 183
46.80, 142
77.80, 124
82.39, 107
68.34, 89

Crystal structure
abc: 5.4884 7.7686 27.4431
angles: 90.00 90.00 90.00
Space group Immm (No. 71)
Inequivalent atoms, fractional coordinates:
Cs 0.0000 0.0000 0.0997
Cs 0.0000 0.0000 0.3029
Rb 0.0000 0.0000 0.5000
I 0.0000 0.5000 0.0943
I 0.0000 0.5000 0.2988
I 0.0000 0.5000 0.5000

=====

(5)
Diffraction record for Cs2Rb3I5. The X-ray diffraction stick pattern is calculated, not measured: it uses a DFT-relaxed cell (GGA-PBE, Alexandria) and Cu Kα.
Intensities are scaled so that the largest is 1000.

Top 10 peaks for 10 to 90 degrees two-theta, by intensity:
2theta, I/Imax
22.62, 1000
24.56, 654
33.88, 627
30.42, 306
42.30, 301
33.39, 295
30.05, 242
25.98, 209
46.18, 189
24.03, 141

Crystal structure
abc: 19.2049 5.2901 13.6822
angles: 90.00 125.84 90.00
Space group C2/m (No. 12)
Inequivalent atoms, fractional coordinates:
Cs 0.1702 0.0000 0.2713
Rb 0.0000 0.0000 0.5000
Rb 0.1154 0.5000 0.8719
I 0.0000 0.5000 0.0000
I 0.0965 0.5000 0.4139
I 0.2079 0.0000 0.8031

=====

(6)
Diffraction record for Cs7Rb12I. The X-ray diffraction stick pattern is calculated, not measured: it uses a DFT-relaxed cell (GGA-PBE, Alexandria) and Cu Kα.
Intensities are scaled so that the largest is 1000.

Top 10 peaks for 10 to 90 degrees two-theta, by intensity:
2theta, I/Imax
21.22, 1000
21.35, 469
24.16, 448
23.14, 414
32.68, 409
27.49, 405
23.41, 354
19.44, 332
33.24, 296
28.18, 276

Crystal structure
abc: 27.4016 27.4016 8.8889
angles: 90.00 90.00 120.00
Space group R-3m (No. 166, hexagonal axes)
Inequivalent atoms, fractional coordinates:
Cs 0.0000 0.0000 0.0000
Cs 0.0778 0.1555 0.3245
Rb 0.0000 0.4077 0.0000
Rb 0.0932 0.5466 0.5037
I 0.0000 0.0000 0.5000

=====

(7)
Diffraction record for Cs8Rb6I. The X-ray diffraction stick pattern is calculated, not measured: it uses a DFT-relaxed cell (GGA-PBE, Alexandria) and Cu Kα.
Intensities are scaled so that the largest is 1000.

Top 10 peaks for 10 to 90 degrees two-theta, by intensity:
2theta, I/Imax
21.91, 1000
28.36, 264
36.82, 257
33.80, 256
39.88, 224
20.55, 218
40.64, 186
53.86, 163
19.32, 154
54.80, 120

Crystal structure
abc: 14.0334 14.0334 8.6441
angles: 90.00 90.00 120.00
Space group P-3 (No. 147)
Inequivalent atoms, fractional coordinates:
Cs 0.0457 0.2478 0.2497
Cs 0.3333 0.6667 0.2511
Rb 0.0995 0.4864 0.7506
I 0.0000 0.0000 0.0000

=====

(8)
Diffraction record for Cs2Rb2I. The X-ray diffraction stick pattern is calculated, not measured: it uses a DFT-relaxed cell (GGA-PBE, Alexandria) and Cu Kα.
Intensities are scaled so that the largest is 1000.

Top 10 peaks for 10 to 90 degrees two-theta, by intensity:
2theta, I/Imax
23.78, 1000
26.36, 873
18.00, 501
44.99, 356
19.21, 349
37.63, 335
23.86, 324
31.08, 316
13.32, 248
25.89, 235

Crystal structure
abc: 9.5620 9.5617 18.5935
angles: 90.00 104.63 90.00
Space group C2/c (No. 15)
Inequivalent atoms, fractional coordinates:
Cs 0.1930 0.1252 0.1381
Rb 0.1715 0.3746 0.5953
I 0.0000 0.1265 0.7500